[1]
Simulated PXRD pattern
Compound: TbMn10Si2
Radiation: copper Kα
Structure: a cell relaxed with GGA-PBE
Kinematic intensities with the Lorentz-polarization factor, no thermal factor.

Most intense lines, 10 to 90 degrees two-theta, by angle:
2theta  d/Å  I_rel
30.66  2.916  37
37.44  2.402  35
38.21  2.355  45
40.81  2.211  57
43.63  2.074  28
43.81  2.066  59
44.00  2.058  35
44.31  2.044  100
44.72  2.027  25
44.92  2.018  28

Structure:
abc: 6.326 6.326 8.107
angles: 90.00 90.00 98.82
Sites, in units of the cell vectors:
Tb1 0.129 0.871 0.750
Tb2 0.871 0.129 0.250
Mn1 0.126 0.370 0.750
Mn2 0.176 0.824 0.109
Mn3 0.176 0.824 0.391
Mn4 0.215 0.215 0.000
Mn5 0.215 0.215 0.500
Mn6 0.258 0.476 0.250
Mn7 0.370 0.126 0.250
Mn8 0.396 0.604 0.565
Mn9 0.396 0.604 0.935
Mn10 0.476 0.258 0.750
Mn11 0.524 0.742 0.250
Mn12 0.604 0.396 0.065
Mn13 0.604 0.396 0.435
Mn14 0.630 0.874 0.750
Mn15 0.742 0.524 0.750
Mn16 0.785 0.785 0.000
Mn17 0.785 0.785 0.500
Mn18 0.824 0.176 0.609
Mn19 0.824 0.176 0.891
Mn20 0.874 0.630 0.250
Si1 0.000 0.500 0.000
Si2 0.000 0.500 0.500
Si3 0.500 0.000 0.000
Si4 0.500 0.000 0.500

[2]
Simulated PXRD pattern
Compound: ThMn3Si3
Radiation: copper Kα
Structure: a cell relaxed with GGA-PBE
Kinematic intensities with the Lorentz-polarization factor, no thermal factor.

Most intense lines, 10 to 90 degrees two-theta, by angle:
2theta  d/Å  I_rel
19.84  4.475  37
28.20  3.164  43
34.72  2.584  100
45.31  2.001  10
54.23  1.691  56
58.32  1.582  13
66.02  1.415  15
69.69  1.349  13
83.70  1.155  16
87.11  1.119  8

Structure:
abc: 6.329 6.329 6.329
angles: 90.00 90.00 90.00
Sites, in units of the cell vectors:
Th1 0.000 0.000 0.000
Th2 0.500 0.500 0.500
Mn1 0.000 0.250 0.500
Mn2 0.000 0.750 0.500
Mn3 0.250 0.500 0.000
Mn4 0.500 0.000 0.250
Mn5 0.500 0.000 0.750
Mn6 0.750 0.500 0.000
Si1 0.000 0.500 0.250
Si2 0.000 0.500 0.750
Si3 0.250 0.000 0.500
Si4 0.500 0.250 0.000
Si5 0.500 0.750 0.000
Si6 0.750 0.000 0.500

[3]
Simulated PXRD pattern
Compound: ThUMn4Si4
Radiation: copper Kα
Structure: a cell relaxed with GGA-PBE
Kinematic intensities with the Lorentz-polarization factor, no thermal factor.

Most intense lines, 10 to 90 degrees two-theta, by angle:
2theta  d/Å  I_rel
24.13  3.689  82
34.82  2.577  69
35.25  2.546  19
36.64  2.453  100
45.86  1.979  36
50.38  1.811  26
52.48  1.744  22
58.84  1.569  31
70.48  1.336  19
78.74  1.215  21

Structure:
abc: 3.958 3.958 10.185
angles: 90.00 90.00 90.00
Sites, in units of the cell vectors:
Th1 0.000 0.000 0.000
U1 0.500 0.500 0.500
Mn1 0.000 0.500 0.258
Mn2 0.000 0.500 0.742
Mn3 0.500 0.000 0.258
Mn4 0.500 0.000 0.742
Si1 0.000 0.000 0.383
Si2 0.000 0.000 0.617
Si3 0.500 0.500 0.127
Si4 0.500 0.500 0.873

[4]
Simulated PXRD pattern
Compound: Ti2Mn4Si5
Radiation: copper Kα
Structure: a cell relaxed with GGA-PBE
Kinematic intensities with the Lorentz-polarization factor, no thermal factor.

Most intense lines, 10 to 90 degrees two-theta, by angle:
2theta  d/Å  I_rel
31.10  2.876  36
37.27  2.412  34
39.75  2.267  46
40.27  2.239  28
40.79  2.212  71
41.49  2.177  56
42.80  2.113  100
43.29  2.090  71
43.95  2.060  32
45.15  2.008  58

Structure:
abc: 9.320 9.320 9.320
angles: 134.22 55.71 150.00
Sites, in units of the cell vectors:
Ti1 0.062 0.250 0.812
Ti2 0.438 0.250 0.188
Ti3 0.562 0.750 0.812
Ti4 0.938 0.750 0.188
Mn1 0.063 0.246 0.309
Mn2 0.155 0.631 0.786
Mn3 0.345 0.131 0.475
Mn4 0.437 0.746 0.183
Mn5 0.563 0.254 0.817
Mn6 0.655 0.869 0.525
Mn7 0.845 0.369 0.214
Mn8 0.937 0.754 0.691
Si1 0.060 0.899 0.958
Si2 0.204 0.311 0.515
Si3 0.250 0.750 0.500
Si4 0.296 0.811 0.107
Si5 0.440 0.399 0.839
Si6 0.560 0.601 0.161
Si7 0.704 0.189 0.893
Si8 0.750 0.250 0.500
Si9 0.796 0.689 0.485
Si10 0.940 0.101 0.042

[5]
Simulated PXRD pattern
Compound: Ti8MnSi2
Radiation: copper Kα
Structure: a cell relaxed with GGA-PBE
Kinematic intensities with the Lorentz-polarization factor, no thermal factor.

Most intense lines, 10 to 90 degrees two-theta, by angle:
2theta  d/Å  I_rel
16.42  5.398  8
28.58  3.124  9
37.60  2.392  6
40.39  2.233  42
42.13  2.145  100
59.72  1.548  9
62.49  1.486  7
74.63  1.272  14
77.08  1.237  10
80.25  1.196  6

Structure:
abc: 7.440 7.440 7.440
angles: 145.06 132.91 59.97
Sites, in units of the cell vectors:
Ti1 0.128 0.362 0.766
Ti2 0.178 0.178 0.000
Ti3 0.260 0.000 0.260
Ti4 0.403 0.638 0.766
Ti5 0.597 0.362 0.234
Ti6 0.740 0.000 0.740
Ti7 0.822 0.822 0.000
Ti8 0.872 0.638 0.234
Mn1 0.000 0.500 0.500
Si1 0.314 0.814 0.500
Si2 0.686 0.186 0.500

[6]
Simulated PXRD pattern
Compound: TmMn5Si3
Radiation: copper Kα
Structure: a cell relaxed with GGA-PBE
Kinematic intensities with the Lorentz-polarization factor, no thermal factor.

Most intense lines, 10 to 90 degrees two-theta, by angle:
2theta  d/Å  I_rel
25.68  3.470  47
28.48  3.134  33
30.63  2.919  52
32.19  2.781  66
34.67  2.588  100
36.21  2.481  67
38.58  2.334  32
41.10  2.196  69
44.22  2.048  47
47.40  1.918  56

Structure:
abc: 6.352 6.352 10.987
angles: 90.00 90.00 144.85
Sites, in units of the cell vectors:
Tm1 0.171 0.829 0.750
Tm2 0.829 0.171 0.250
Mn1 0.000 0.000 0.000
Mn2 0.000 0.000 0.500
Mn3 0.193 0.807 0.053
Mn4 0.193 0.807 0.447
Mn5 0.441 0.559 0.648
Mn6 0.441 0.559 0.852
Mn7 0.559 0.441 0.148
Mn8 0.559 0.441 0.352
Mn9 0.807 0.193 0.553
Mn10 0.807 0.193 0.947
Si1 0.124 0.876 0.250
Si2 0.382 0.618 0.059
Si3 0.382 0.618 0.441
Si4 0.618 0.382 0.559
Si5 0.618 0.382 0.941
Si6 0.876 0.124 0.750